Record 1
HoHfSc14: computed XRD peak list (Cu Kα (weighted mean of Kα1 and Kα2)), based on a DFT-relaxed cell (PBE, Alexandria).
Lines closer than 0.1° are merged.

The 10 most intense peaks (2θ = 10–90°), in order of rising 2θ:
- 2θ 17.65, intensity 16, (1 0 2)
- 2θ 31.07, intensity 29, (0 0 4)
- 2θ 32.29, intensity 11, (1 2 2)
- 2θ 34.82, intensity 23, (4 0 0)
- 2θ 35.73, intensity 100, (2 2 2)
- 2θ 47.35, intensity 18, (4 0 4)
- 2θ 55.27, intensity 19, (0 4 0)
- 2θ 63.02, intensity 17, (6 2 2)
- 2θ 67.00, intensity 19, (4 4 0)
- 2θ 67.57, intensity 14, (2 0 8)

Atomic structure:
abc: 10.3062 6.6528 11.5080
angles: 90.00 90.00 90.00
Space group Amm2 (No. 38)
Unique sites:
Ho1 0.0000 0.0000 0.0000 [2 per cell]
Hf1 0.0000 0.0000 0.5016 [2 per cell]
Sc1 0.0000 0.2501 0.2488 [4 per cell]
Sc2 0.2451 0.0000 0.3347 [4 per cell]
Sc3 0.2499 0.2462 0.5827 [8 per cell]
Sc4 0.2557 0.0000 0.8316 [4 per cell]
Sc5 0.5000 0.0000 0.4996 [2 per cell]
Sc6 0.5000 0.0000 0.9995 [2 per cell]
Sc7 0.5000 0.2498 0.2497 [4 per cell]

Record 2
Pm5Sn2Pb: computed XRD peak list (Cu Kα (weighted mean of Kα1 and Kα2)), based on a DFT-relaxed cell (PBE, Alexandria).
Lines closer than 0.1° are merged.

The 10 most intense peaks (2θ = 10–90°), in order of rising 2θ:
- 2θ 29.18, intensity 23, (1 1 4)
- 2θ 30.28, intensity 16, (2 2 0)
- 2θ 30.40, intensity 100, (2 1 3)
- 2θ 32.97, intensity 32, (2 0 4)
- 2θ 33.96, intensity 65, (3 1 0)
- 2θ 39.63, intensity 11, (2 2 4)
- 2θ 48.83, intensity 25, (4 2 0)
- 2θ 53.11, intensity 13, (3 3 4)
- 2θ 62.72, intensity 13, (3 1 8)
- 2θ 63.03, intensity 22, (4 4 0)

Atomic structure:
abc: 8.3482 8.3482 14.3170
angles: 90.00 90.00 90.00
Space group I4/mcm (No. 140)
Unique sites:
Pm1 0.0000 0.0000 0.0000 [4 per cell]
Pm2 0.1620 0.3380 0.1481 [16 per cell]
Sn1 0.1372 0.3628 0.5000 [8 per cell]
Pb1 0.0000 0.0000 0.2500 [4 per cell]

Record 3
Sr3Pa3PtN8: computed XRD peak list (Cu Kα (weighted mean of Kα1 and Kα2)), based on a DFT-relaxed cell (PBE, Alexandria).
Lines closer than 0.1° are merged.

The 10 most intense peaks (2θ = 10–90°), in order of rising 2θ:
- 2θ 14.89, intensity 74, (0 0 1)
- 2θ 29.74, intensity 25, (2 2 -1)
- 2θ 30.03, intensity 38, (0 0 2)
- 2θ 31.06, intensity 100, (2 2 0)
- 2θ 35.62, intensity 67, (2 2 -2)
- 2θ 35.94, intensity 33, (4 0 0)
- 2θ 50.82, intensity 23, (2 2 2)
- 2θ 52.16, intensity 23, (6 2 -2)
- 2θ 61.14, intensity 25, (0 4 2)
- 2θ 64.76, intensity 17, (8 0 -4)

Atomic structure:
abc: 12.1332 7.0434 7.2238
angles: 90.00 124.53 90.00
Space group C2/m (No. 12)
Unique sites:
Sr1 0.0000 0.0000 0.0000 [2 per cell]
Sr2 0.2500 0.2500 0.0000 [4 per cell]
Pa1 0.0000 0.5000 0.5000 [2 per cell]
Pa2 0.2500 0.2500 0.5000 [4 per cell]
Pt1 0.0000 0.0000 0.5000 [2 per cell]
N1 0.0237 0.2639 0.3048 [8 per cell]
N2 0.2241 0.0000 0.6826 [4 per cell]
N3 0.2361 0.5000 0.7081 [4 per cell]

Record 4
HgO4F: computed XRD peak list (Cu Kα (weighted mean of Kα1 and Kα2)), based on a DFT-relaxed cell (PBE, Alexandria).
Lines closer than 0.1° are merged.

The 10 most intense peaks (2θ = 10–90°), in order of rising 2θ:
- 2θ 16.68, intensity 55, (0 0 1)
- 2θ 20.27, intensity 43, (0 1 0)
- 2θ 20.89, intensity 57, (1 0 0)
- 2θ 23.85, intensity 36, (1 0 1)
- 2θ 26.36, intensity 100, (0 1 1)
- 2θ 29.19, intensity 15, (1 1 0)
- 2θ 33.72, intensity 24, (0 0 2)
- 2θ 36.11, intensity 32, (1 1 -1)
- 2θ 42.30, intensity 17, (2 0 1)
- 2θ 44.75, intensity 20, (0 2 1)

Atomic structure:
abc: 4.3513 4.3804 5.4411
angles: 89.77 77.71 89.64
Space group P-1 (No. 2)
Unique sites:
Hg1 0.0000 0.0000 0.0000 [1 per cell]
O1 0.1818 0.6434 0.5983 [2 per cell]
O2 0.1835 0.3562 0.5985 [2 per cell]
F1 0.5000 0.0000 0.0000 [1 per cell]

Please write out number 2 again, unchanged.
Pm5Sn2Pb: computed XRD peak list (Cu Kα (weighted mean of Kα1 and Kα2)), based on a DFT-relaxed cell (PBE, Alexandria).
Lines closer than 0.1° are merged.

The 10 most intense peaks (2θ = 10–90°), in order of rising 2θ:
- 2θ 29.18, intensity 23, (1 1 4)
- 2θ 30.28, intensity 16, (2 2 0)
- 2θ 30.40, intensity 100, (2 1 3)
- 2θ 32.97, intensity 32, (2 0 4)
- 2θ 33.96, intensity 65, (3 1 0)
- 2θ 39.63, intensity 11, (2 2 4)
- 2θ 48.83, intensity 25, (4 2 0)
- 2θ 53.11, intensity 13, (3 3 4)
- 2θ 62.72, intensity 13, (3 1 8)
- 2θ 63.03, intensity 22, (4 4 0)

Atomic structure:
abc: 8.3482 8.3482 14.3170
angles: 90.00 90.00 90.00
Space group I4/mcm (No. 140)
Unique sites:
Pm1 0.0000 0.0000 0.0000 [4 per cell]
Pm2 0.1620 0.3380 0.1481 [16 per cell]
Sn1 0.1372 0.3628 0.5000 [8 per cell]
Pb1 0.0000 0.0000 0.2500 [4 per cell]